Calculated powder XRD pattern
Compound: NiB2Mo2
Radiation: a wavelength of 1.5418 Å
Structure: a DFT-relaxed cell (PBE, the Materials Project)

Most intense lines, 10 to 90 degrees two-theta, by intensity:
Position (°2θ)	d_spacing	I/Imax
42.87	2.110	100
39.38	2.288	26
30.74	2.909	20
34.30	2.614	20
73.80	1.284	18
50.77	1.798	15
85.83	1.132	13
74.66	1.271	12
57.91	1.592	10
72.29	1.307	8

```
NiB2Mo2
1.0
-1.592 2.288 3.569
1.592 -2.288 3.569
1.592 2.288 -3.569
Ni B Mo
1 2 2
Direct
0.000 0.000 0.000
0.298 0.500 0.798
0.702 0.500 0.202
0.301 0.801 0.500
0.699 0.199 0.500
```